No. 1
The following is a simulated powder XRD pattern of TiAlN2. It was derived from a DFT-relaxed cell (GGA-PBE, the Materials Project), using Cu Ka.

Structure:
abc: 2.9223 2.9223 14.7274
angles: 90.00 90.00 120.00
Atoms (fractional coordinates):
1 Ti 0.0000 0.0000 0.0000
2 Ti 0.3333 0.6667 0.6667
3 Ti 0.6667 0.3333 0.3333
4 Al 0.0000 0.0000 0.5000
5 Al 0.3333 0.6667 0.1667
6 Al 0.6667 0.3333 0.8333
7 N 0.0000 0.0000 0.2440
8 N 0.0000 0.0000 0.7560
9 N 0.3333 0.6667 0.4227
10 N 0.3333 0.6667 0.9106
11 N 0.6667 0.3333 0.0894
12 N 0.6667 0.3333 0.5773

Peak list (10 most intense, 10 to 90 degrees two-theta, in order of falling intensity)
Position (°2θ)  d_spacing  I/Imax
43.39  2.086  100
37.58  2.393  36
62.37  1.489  29
63.69  1.461  27
36.61  2.455  13
80.21  1.197  13
75.76  1.256  11
18.07  4.909  10
36.01  2.494  8
74.55  1.273  6

***

No. 2
The following is a simulated powder XRD pattern of CaCuGe2O6. It was derived from a DFT-relaxed cell (GGA-PBE, the Materials Project), using Cu Ka.

Structure:
abc: 6.9376 6.9376 5.4491
angles: 102.78 102.78 83.01
Atoms (fractional coordinates):
1 Ca 0.1992 0.8008 0.7500
2 Ca 0.8008 0.1992 0.2500
3 Cu 0.4024 0.5976 0.2500
4 Cu 0.5976 0.4024 0.7500
5 Ge 0.1195 0.3158 0.7882
6 Ge 0.3158 0.1195 0.2882
7 Ge 0.6842 0.8805 0.7118
8 Ge 0.8805 0.6842 0.2118
9 O 0.1129 0.1718 0.0249
10 O 0.1196 0.5989 0.3386
11 O 0.1718 0.1129 0.5249
12 O 0.3015 0.4880 0.8811
13 O 0.4011 0.8804 0.1614
14 O 0.4880 0.3015 0.3811
15 O 0.5120 0.6985 0.6189
16 O 0.5989 0.1196 0.8386
17 O 0.6985 0.5120 0.1189
18 O 0.8282 0.8871 0.4751
19 O 0.8804 0.4011 0.6614
20 O 0.8871 0.8282 0.9751

Peak list (10 most intense, 10 to 90 degrees two-theta, in order of falling intensity)
Position (°2θ)  d_spacing  I/Imax
34.46  2.603  100
28.50  3.132  97
28.67  3.114  39
33.79  2.653  39
54.39  1.687  19
53.41  1.715  19
19.32  4.594  19
59.50  1.553  17
63.51  1.465  15
62.60  1.484  14

***

No. 3
The following is a simulated powder XRD pattern of NiSe2. It was derived from a DFT-relaxed cell (GGA-PBE, the Materials Project), using Cu Ka.

Structure:
abc: 5.9359 5.9359 5.9359
angles: 90.00 90.00 90.00
Atoms (fractional coordinates):
1 Ni 0.0000 0.0000 0.0000
2 Ni 0.0000 0.5000 0.5000
3 Ni 0.5000 0.0000 0.5000
4 Ni 0.5000 0.5000 0.0000
5 Se 0.1231 0.6231 0.8769
6 Se 0.1231 0.8769 0.3769
7 Se 0.3769 0.1231 0.8769
8 Se 0.3769 0.3769 0.3769
9 Se 0.6231 0.6231 0.6231
10 Se 0.6231 0.8769 0.1231
11 Se 0.8769 0.1231 0.6231
12 Se 0.8769 0.3769 0.1231

Peak list (10 most intense, 10 to 90 degrees two-theta, in order of falling intensity)
Position (°2θ)  d_spacing  I/Imax
33.76  2.655  100
37.10  2.423  79
51.03  1.790  70
58.15  1.586  42
30.11  2.968  26
55.84  1.646  25
84.88  1.142  21
73.05  1.295  21
88.76  1.102  20
43.10  2.099  17

***

No. 4
The following is a simulated powder XRD pattern of Y7C3I6O. It was derived from a DFT-relaxed cell (GGA-PBE, the Materials Project), using Cu Ka.

Structure:
abc: 22.6513 3.8619 11.5291
angles: 90.00 90.00 90.00
Atoms (fractional coordinates):
1 Y 0.0305 0.0000 0.1372
2 Y 0.1050 0.5000 0.9376
3 Y 0.1648 0.5000 0.2020
4 Y 0.2500 0.0000 0.0162
5 Y 0.3352 0.5000 0.2020
6 Y 0.3950 0.5000 0.9376
7 Y 0.4695 0.0000 0.1372
8 Y 0.5305 0.0000 0.8628
9 Y 0.6050 0.5000 0.0624
10 Y 0.6648 0.5000 0.7980
11 Y 0.7500 0.0000 0.9838
12 Y 0.8352 0.5000 0.7980
13 Y 0.8950 0.5000 0.0624
14 Y 0.9695 0.0000 0.8628
15 C 0.0000 0.5000 0.0000
16 C 0.1366 0.0000 0.0760
17 C 0.3634 0.0000 0.0760
18 C 0.5000 0.5000 0.0000
19 C 0.6366 0.0000 0.9240
20 C 0.8634 0.0000 0.9240
21 I 0.0581 0.5000 0.3574
22 I 0.0919 0.0000 0.7280
23 I 0.2500 0.0000 0.3700
24 I 0.2500 0.5000 0.8071
25 I 0.4081 0.0000 0.7280
26 I 0.4419 0.5000 0.3574
27 I 0.5581 0.5000 0.6426
28 I 0.5919 0.0000 0.2720
29 I 0.7500 0.0000 0.6300
30 I 0.7500 0.5000 0.1929
31 I 0.9081 0.0000 0.2720
32 I 0.9419 0.5000 0.6426
33 O 0.2500 0.5000 0.1128
34 O 0.7500 0.5000 0.8872

Peak list (10 most intense, 10 to 90 degrees two-theta, in order of falling intensity)
Position (°2θ)  d_spacing  I/Imax
33.84  2.649  100
27.06  3.295  95
30.27  2.953  91
28.65  3.116  74
23.55  3.777  59
33.27  2.693  52
28.92  3.087  47
47.06  1.931  44
61.00  1.519  43
15.37  5.765  42

***

No. 5
The following is a simulated powder XRD pattern of Sm2ZrSe5. It was derived from a DFT-relaxed cell (GGA-PBE, the Materials Project), using Cu Ka.

Structure:
abc: 12.3044 8.2465 7.7114
angles: 90.00 90.00 90.00
Atoms (fractional coordinates):
1 Sm 0.1788 0.0030 0.0235
2 Sm 0.1788 0.4970 0.0235
3 Sm 0.3212 0.5030 0.5235
4 Sm 0.3212 0.9970 0.5235
5 Sm 0.6788 0.0030 0.4765
6 Sm 0.6788 0.4970 0.4765
7 Sm 0.8212 0.5030 0.9765
8 Sm 0.8212 0.9970 0.9765
9 Zr 0.0065 0.7500 0.5809
10 Zr 0.4935 0.2500 0.0809
11 Zr 0.5065 0.7500 0.9191
12 Zr 0.9935 0.2500 0.4191
13 Se 0.0035 0.7500 0.9486
14 Se 0.0921 0.0382 0.6598
15 Se 0.0921 0.4618 0.6598
16 Se 0.1807 0.7500 0.3321
17 Se 0.2074 0.2500 0.3102
18 Se 0.2926 0.7500 0.8102
19 Se 0.3193 0.2500 0.8321
20 Se 0.4079 0.5382 0.1598
21 Se 0.4079 0.9618 0.1598
22 Se 0.4965 0.2500 0.4486
23 Se 0.5035 0.7500 0.5514
24 Se 0.5921 0.0382 0.8402
25 Se 0.5921 0.4618 0.8402
26 Se 0.6807 0.7500 0.1679
27 Se 0.7074 0.2500 0.1898
28 Se 0.7926 0.7500 0.6898
29 Se 0.8193 0.2500 0.6679
30 Se 0.9079 0.5382 0.3402
31 Se 0.9079 0.9618 0.3402
32 Se 0.9965 0.2500 0.0514

Peak list (10 most intense, 10 to 90 degrees two-theta, in order of falling intensity)
Position (°2θ)  d_spacing  I/Imax
35.04  2.561  100
32.92  2.721  84
32.62  2.745  54
44.45  2.038  46
43.92  2.062  45
35.70  2.515  43
24.58  3.621  39
36.44  2.466  37
31.31  2.857  36
31.81  2.813  34

***

No. 6
The following is a simulated powder XRD pattern of HfMg6NbO8. It was derived from a DFT-relaxed cell (GGA-PBE, the Materials Project), using Cu Ka.

Structure:
abc: 4.4148 4.4148 8.7982
angles: 90.00 90.00 90.00
Atoms (fractional coordinates):
1 Hf 0.0000 0.0000 0.0000
2 Mg 0.0000 0.5000 0.2596
3 Mg 0.0000 0.5000 0.7404
4 Mg 0.5000 0.0000 0.2596
5 Mg 0.5000 0.0000 0.7404
6 Mg 0.5000 0.5000 0.0000
7 Mg 0.5000 0.5000 0.5000
8 Nb 0.0000 0.0000 0.5000
9 O 0.0000 0.0000 0.2378
10 O 0.0000 0.0000 0.7622
11 O 0.0000 0.5000 0.0000
12 O 0.0000 0.5000 0.5000
13 O 0.5000 0.0000 0.0000
14 O 0.5000 0.0000 0.5000
15 O 0.5000 0.5000 0.2498
16 O 0.5000 0.5000 0.7502

Peak list (10 most intense, 10 to 90 degrees two-theta, in order of falling intensity)
Position (°2θ)  d_spacing  I/Imax
20.14  4.410  100
28.63  3.118  85
40.88  2.207  68
35.25  2.546  58
59.31  1.558  41
50.71  1.800  35
41.03  2.200  33
45.98  1.974  31
59.19  1.561  21
74.55  1.273  20